Starting from DFT lattice parameters and positions (PBE), the powder XRD pattern of DyEr3Ga8 was calculated for Cu Kα (weighted mean of Kα1 and Kα2).
Lines closer than 0.1° are merged.

Most intense lines, 10 to 80 degrees two-theta, sorted by position:
32.5°, I 61
32.8°, I 59
38.2°, I 55
38.5°, I 100
38.7°, I 51
40.4°, I 28
62.2°, I 26
62.4°, I 24
68.0°, I 25
68.8°, I 25

Cell and atoms:
```
12
Lattice="2.7303 1.5764 9.0444 -2.7303 1.5764 9.0444 0.0000 -3.1527 9.0444" Properties=species:S:1:pos:R:3 pbc="T T T"
Dy 0.0000 0.0000 0.0000
Er 0.0000 0.0000 3.3637
Er 0.0000 0.0000 13.5703
Er 0.0000 0.0000 16.9229
Ga 0.0000 -1.5758 6.1992
Ga -1.3647 0.7879 6.1992
Ga -1.3650 -0.7881 10.7311
Ga 0.0000 0.0000 8.4632
Ga 1.3647 0.7879 6.1992
Ga 1.3650 -0.7881 10.7310
Ga 0.0000 1.5762 10.7310
Ga 0.0000 0.0000 22.0333
```